(1)
# KDyGa4Pt2
Computed powder diffractogram, Cu Kα, 1.54184 Å. Input: a structure optimized by DFT (GGA-PBE).
Kinematic intensities with the Lorentz-polarization factor, no thermal factor.

Most intense lines, 2θ from 15° to 90°, sorted by position:
index, two_theta, I/Imax
2 0 0, 25.55, 72
2 1 1, 34.02, 81
1 1 3, 35.52, 100
1 0 4, 36.99, 56
2 1 3, 42.23, 57
3 1 1, 45.04, 56

Crystal structure
a b c (Å): 6.970 4.370 10.373
angles (deg): 90.00 90.00 90.00
Space group Amm2 (No. 38)
One atom of each set of equivalent atoms:
K 0.000 0.000 0.000 x2
Dy 0.500 0.000 0.843 x2
Ga 0.197 0.000 0.283 x4
Ga 0.309 0.000 0.563 x4
Pt 0.000 0.000 0.718 x2
Pt 0.500 0.000 0.130 x2

(2)
# Dy2Lu3Ga3
Computed powder diffractogram, Cu Kα, 1.54184 Å. Input: a structure optimized by DFT (GGA-PBE).
Kinematic intensities with the Lorentz-polarization factor, no thermal factor.

Most intense lines, 2θ from 15° to 90°, sorted by position:
index, two_theta, I/Imax
2 0 0, 30.17, 31
2 0 1, 35.45, 100
0 0 2, 36.86, 20
2 0 2, 48.34, 17
2 2 0, 53.58, 18
2 2 2, 66.81, 19

Crystal structure
a b c (Å): 6.8411 6.8411 4.8771
angles (deg): 90.00 90.00 120.00
Space group P-6m2 (No. 187)
One atom of each set of equivalent atoms:
Dy 0.0000 0.0000 0.0000 x1
Dy 0.3333 0.6667 0.5000 x1
Lu 0.3532 0.1766 0.5000 x3
Ga 0.5201 0.0401 0.0000 x3

(3)
# Dy3Mg3Ga2Pt
Computed powder diffractogram, Cu Kα, 1.54184 Å. Input: a structure optimized by DFT (GGA-PBE).
Kinematic intensities with the Lorentz-polarization factor, no thermal factor.

Most intense lines, 2θ from 15° to 90°, sorted by position:
index, two_theta, I/Imax
0 0 1, 20.49, 37
1 1 0, 24.41, 31
2 0 0, 28.26, 39
1 1 1, 32.07, 56
2 0 1, 35.16, 100
2 1 1, 43.27, 29

Crystal structure
a b c (Å): 7.2935 7.2935 4.3346
angles (deg): 90.00 90.00 120.00
Space group P-62m (No. 189)
One atom of each set of equivalent atoms:
Dy 0.0000 0.5897 0.0000 x3
Mg 0.0000 0.2394 0.5000 x3
Ga 0.3333 0.6667 0.5000 x2
Pt 0.0000 0.0000 0.0000 x1

(4)
# DyTm2Mg3Ga3
Computed powder diffractogram, Cu Kα, 1.54184 Å. Input: a structure optimized by DFT (GGA-PBE).
Kinematic intensities with the Lorentz-polarization factor, no thermal factor.

Most intense lines, 2θ from 15° to 90°, sorted by position:
index, two_theta, I/Imax
1 0 0, 20.15, 27
0 0 2, 24.67, 22
0 2 2, 28.60, 23
1 0 2, 32.06, 73
1 2 2, 35.21, 100
2 0 0, 40.97, 24

Crystal structure
a b c (Å): 4.406 12.532 7.197
angles (deg): 90.00 90.00 90.00
Space group Amm2 (No. 38)
One atom of each set of equivalent atoms:
Dy 0.000 0.000 0.000 x2
Tm 0.000 0.214 0.642 x4
Mg 0.500 0.000 0.672 x2
Mg 0.500 0.122 0.307 x4
Ga 0.000 0.000 0.431 x2
Ga 0.500 0.168 0.928 x4